(1)
Diffraction record for LiNdP4N8. The XRD peak list is theoretical, not measured: it uses DFT lattice parameters and positions (GGA-PBE) and λ = 1.5418 Å (Cu Kα).
Lines closer than 0.1° are merged.

Main lines, by angle (2θ = 10–80°):
hkl 1 0 1, 14.1°, d = 6.301 Å, intensity 41
hkl 0 1 1, 14.9°, d = 5.959 Å, intensity 45
hkl 2 1 0, 23.3°, d = 3.814 Å, intensity 100
hkl 1 1 2, 24.8°, d = 3.594 Å, intensity 93
hkl 1 2 1, 26.7°, d = 3.339 Å, intensity 79
hkl 0 1 3, 31.6°, d = 2.835 Å, intensity 60
hkl 2 2 1, 32.2°, d = 2.783 Å, intensity 29
hkl 3 1 1, 34.3°, d = 2.612 Å, intensity 53
hkl 3 0 2, 36.7°, d = 2.451 Å, intensity 37
hkl 1 3 2, 41.0°, d = 2.201 Å, intensity 28

Cell and atoms:
Cell lengths 8.7194, 7.8748, 9.1157 Å; angles 90.00, 90.00, 90.00 degrees
Space group Pnma (No. 62)
Symmetry-distinct sites (fractional):
Li: 0.0539 0.2500 0.0678 x4
Nd: 0.0872 0.7500 0.5857 x4
P: 0.0694 0.5628 0.1913 x8
P: 0.2301 0.5589 0.9190 x8
N: 0.0213 0.7500 0.1377 x4
N: 0.0776 0.5670 0.8166 x8
N: 0.1279 0.5587 0.3608 x8
N: 0.1963 0.2500 0.4218 x4
N: 0.1978 0.0263 0.0803 x8

***

(2)
Diffraction record for FeCu. The XRD peak list is theoretical, not measured: it uses DFT lattice parameters and positions (GGA-PBE) and λ = 1.5418 Å (Cu Kα).
Lines closer than 0.1° are merged.

Main lines, by angle (2θ = 10–80°):
hkl 0 0 1, 20.9°, d = 4.257 Å, intensity 1
hkl 1 0 0, 41.5°, d = 2.178 Å, intensity 25
hkl 0 0 2, 42.5°, d = 2.128 Å, intensity 30
hkl 1 0 1, 46.9°, d = 1.939 Å, intensity 100
hkl 1 0 2, 60.8°, d = 1.522 Å, intensity 15
hkl 1 1 0, 75.6°, d = 1.258 Å, intensity 14

Cell and atoms:
Cell lengths 2.5153, 2.5153, 4.2566 Å; angles 90.00, 90.00, 120.00 degrees
Space group P-6m2 (No. 187)
Symmetry-distinct sites (fractional):
Fe: 0.0000 0.0000 0.0000 x1
Cu: 0.3333 0.6667 0.5000 x1

***

(3)
Diffraction record for BeGa2Cu5. The XRD peak list is theoretical, not measured: it uses DFT lattice parameters and positions (GGA-PBE) and λ = 1.5418 Å (Cu Kα).
Lines closer than 0.1° are merged.

Main lines, by angle (2θ = 10–80°):
hkl 0 0 1, 15.3°, d = 5.808 Å, intensity 2
hkl 1 0 0, 21.7°, d = 4.088 Å, intensity 5
hkl 1 0 1, 26.7°, d = 3.343 Å, intensity 8
hkl 1 1 1, 34.7°, d = 2.588 Å, intensity 6
hkl 1 0 2, 38.0°, d = 2.368 Å, intensity 3
hkl 1 1 2, 44.2°, d = 2.049 Å, intensity 100
hkl 2 0 0, 44.3°, d = 2.044 Å, intensity 50
hkl 2 1 1, 52.5°, d = 1.744 Å, intensity 3
hkl 0 0 4, 64.1°, d = 1.452 Å, intensity 7
hkl 2 2 0, 64.5°, d = 1.445 Å, intensity 15

Cell and atoms:
Cell lengths 4.0882, 4.0882, 5.8085 Å; angles 90.00, 90.00, 90.00 degrees
Space group P4/mmm (No. 123)
Symmetry-distinct sites (fractional):
Be: 0.0000 0.0000 0.0000 x1
Ga: 0.0000 0.0000 0.5000 x1
Ga: 0.5000 0.5000 0.0000 x1
Cu: 0.0000 0.5000 0.2374 x4
Cu: 0.5000 0.5000 0.5000 x1

***

(4)
Diffraction record for Li3Au. The XRD peak list is theoretical, not measured: it uses DFT lattice parameters and positions (GGA-PBE) and λ = 1.5418 Å (Cu Kα).
Lines closer than 0.1° are merged.

Main lines, by angle (2θ = 10–80°):
hkl 0 0 2, 22.6°, d = 3.928 Å, intensity 32
hkl 1 1 0, 23.4°, d = 3.798 Å, intensity 22
hkl 1 1 1, 26.1°, d = 3.419 Å, intensity 100
hkl 1 1 2, 32.8°, d = 2.730 Å, intensity 18
hkl 3 0 0, 41.2°, d = 2.193 Å, intensity 24
hkl 1 1 3, 41.9°, d = 2.156 Å, intensity 33
hkl 3 0 2, 47.5°, d = 1.915 Å, intensity 28
hkl 2 2 1, 49.4°, d = 1.846 Å, intensity 18
hkl 0 3 4, 63.6°, d = 1.463 Å, intensity 11
hkl 1 4 1, 66.2°, d = 1.412 Å, intensity 15

Cell and atoms:
Cell lengths 7.5951, 7.5951, 7.8565 Å; angles 90.00, 90.00, 120.00 degrees
Space group P-3c1 (No. 165)
Symmetry-distinct sites (fractional):
Li: 0.0000 0.0000 0.2500 x2
Li: 0.0541 0.3618 0.4175 x12
Li: 0.3333 0.6667 0.1592 x4
Au: 0.0000 0.3444 0.7500 x6

***

(5)
Diffraction record for Er2Te3. The XRD peak list is theoretical, not measured: it uses DFT lattice parameters and positions (GGA-PBE) and λ = 1.5418 Å (Cu Kα).
Lines closer than 0.1° are merged.

Main lines, by angle (2θ = 10–80°):
hkl 1 1 1, 13.0°, d = 6.801 Å, intensity 17
hkl 0 2 2, 16.1°, d = 5.518 Å, intensity 4
hkl 1 1 5, 21.3°, d = 4.172 Å, intensity 6
hkl 1 3 1, 24.4°, d = 3.643 Å, intensity 4
hkl 2 0 6, 29.3°, d = 3.051 Å, intensity 100
hkl 4 0 0, 41.9°, d = 2.157 Å, intensity 76
hkl 4 4 0, 51.9°, d = 1.761 Å, intensity 27
hkl 4 0 12, 60.7°, d = 1.525 Å, intensity 13
hkl 4 4 12, 68.8°, d = 1.364 Å, intensity 34
hkl 4 8 0, 76.5°, d = 1.246 Å, intensity 26

Cell and atoms:
Cell lengths 8.6358, 12.2003, 25.8763 Å; angles 90.00, 90.00, 90.00 degrees
Space group Fddd (No. 70, origin choice 2)
Symmetry-distinct sites (fractional):
Er: 0.1250 0.1250 0.0423 x16
Er: 0.1250 0.1250 0.3753 x16
Te: 0.1209 0.3750 0.8750 x16
Te: 0.1249 0.3740 0.5417 x32

***

(6)
Diffraction record for Nd2GdCu4Sn2Ge2. The XRD peak list is theoretical, not measured: it uses DFT lattice parameters and positions (GGA-PBE) and λ = 1.5418 Å (Cu Kα).
Lines closer than 0.1° are merged.

Main lines, by angle (2θ = 10–80°):
hkl 0 2 0, 26.5°, d = 3.366 Å, intensity 13
hkl 0 1 5, 33.3°, d = 2.694 Å, intensity 28
hkl 1 2 1, 33.9°, d = 2.645 Å, intensity 75
hkl 1 1 4, 34.3°, d = 2.616 Å, intensity 100
hkl 2 0 0, 40.3°, d = 2.235 Å, intensity 37
hkl 0 3 3, 44.4°, d = 2.040 Å, intensity 17
hkl 2 1 5, 53.2°, d = 1.720 Å, intensity 15
hkl 2 3 5, 67.1°, d = 1.395 Å, intensity 17
hkl 3 1 4, 69.5°, d = 1.353 Å, intensity 13
hkl 1 5 4, 78.6°, d = 1.217 Å, intensity 14

Cell and atoms:
Cell lengths 4.4708, 6.7328, 14.7008 Å; angles 90.00, 90.00, 90.00 degrees
Space group Immm (No. 71)
Symmetry-distinct sites (fractional):
Nd: 0.0000 0.0000 0.1277 x4
Gd: 0.0000 0.5000 0.0000 x2
Cu: 0.0000 0.1862 0.3415 x8
Sn: 0.0000 0.5000 0.2162 x4
Ge: 0.0000 0.3084 0.5000 x4

***

(7)
Diffraction record for ScTaSn2Pd2. The XRD peak list is theoretical, not measured: it uses DFT lattice parameters and positions (GGA-PBE) and λ = 1.5418 Å (Cu Kα).
Lines closer than 0.1° are merged.

Main lines, by angle (2θ = 10–80°):
hkl 0 1 1, 17.2°, d = 5.142 Å, intensity 8
hkl 1 0 1, 24.5°, d = 3.632 Å, intensity 31
hkl 1 2 0, 28.4°, d = 3.145 Å, intensity 21
hkl 1 2 2, 40.5°, d = 2.225 Å, intensity 100
hkl 2 0 0, 40.7°, d = 2.219 Å, intensity 20
hkl 0 2 3, 47.9°, d = 1.898 Å, intensity 10
hkl 2 4 0, 58.7°, d = 1.573 Å, intensity 20
hkl 1 6 0, 66.4°, d = 1.407 Å, intensity 7
hkl 0 4 4, 73.7°, d = 1.285 Å, intensity 20
hkl 3 2 2, 73.9°, d = 1.282 Å, intensity 14

Cell and atoms:
Cell lengths 4.4375, 8.9081, 6.2967 Å; angles 90.00, 90.00, 90.00 degrees
Space group Pmn2_1 (No. 31)
Symmetry-distinct sites (fractional):
Sc: 0.0000 0.1219 0.0000 x2
Ta: 0.0000 0.6267 0.0047 x2
Sn: 0.0000 0.1251 0.4949 x2
Sn: 0.0000 0.6265 0.5100 x2
Pd: 0.0000 0.3843 0.2607 x2
Pd: 0.0000 0.8657 0.2450 x2

***

(8)
Diffraction record for Pm2TeO6. The XRD peak list is theoretical, not measured: it uses DFT lattice parameters and positions (GGA-PBE) and λ = 1.5418 Å (Cu Kα).
Lines closer than 0.1° are merged.

Main lines, by angle (2θ = 10–80°):
hkl 0 1 1, 18.7°, d = 4.753 Å, intensity 60
hkl 1 0 -2, 20.9°, d = 4.257 Å, intensity 46
hkl 1 1 0, 24.1°, d = 3.693 Å, intensity 27
hkl 0 2 0, 29.7°, d = 3.007 Å, intensity 31
hkl 1 1 1, 30.8°, d = 2.906 Å, intensity 100
hkl 0 2 1, 31.9°, d = 2.804 Å, intensity 33
hkl 2 0 -2, 33.0°, d = 2.718 Å, intensity 39
hkl 1 1 -3, 33.2°, d = 2.698 Å, intensity 84
hkl 2 1 -1, 37.1°, d = 2.425 Å, intensity 37
hkl 0 0 4, 46.8°, d = 1.940 Å, intensity 29

Cell and atoms:
Cell lengths 5.4639, 6.0138, 9.0635 Å; angles 90.00, 121.11, 90.00 degrees
Space group P2_1/c (No. 14)
Symmetry-distinct sites (fractional):
Pm: 0.2082 0.0789 0.2485 x4
Te: 0.5000 0.0000 0.0000 x2
O: 0.1607 0.1644 0.9527 x4
O: 0.2709 0.7287 0.9226 x4
O: 0.4078 0.0627 0.7686 x4

***

(9)
Diffraction record for AcEr3Se6. The XRD peak list is theoretical, not measured: it uses DFT lattice parameters and positions (GGA-PBE) and λ = 1.5418 Å (Cu Kα).
Lines closer than 0.1° are merged.

Main lines, by angle (2θ = 10–80°):
hkl 1 0 -3, 22.4°, d = 3.977 Å, intensity 50
hkl 3 0 -1, 22.9°, d = 3.880 Å, intensity 61
hkl 2 1 1, 29.5°, d = 3.033 Å, intensity 100
hkl 2 0 -4, 30.5°, d = 2.928 Å, intensity 39
hkl 0 1 3, 32.0°, d = 2.795 Å, intensity 33
hkl 3 1 0, 32.5°, d = 2.757 Å, intensity 66
hkl 1 1 3, 35.0°, d = 2.563 Å, intensity 33
hkl 4 1 -3, 40.0°, d = 2.255 Å, intensity 81
hkl 1 1 4, 41.6°, d = 2.169 Å, intensity 42
hkl 0 2 0, 43.2°, d = 2.092 Å, intensity 60

Cell and atoms:
Cell lengths 11.6388, 4.1847, 11.9319 Å; angles 90.00, 109.21, 90.00 degrees
Space group P2_1/m (No. 11)
Symmetry-distinct sites (fractional):
Ac: 0.0532 0.2500 0.1988 x2
Er: 0.1601 0.2500 0.5896 x2
Er: 0.3225 0.7500 0.0008 x2
Er: 0.4493 0.2500 0.3351 x2
Se: 0.0838 0.7500 0.4121 x2
Se: 0.1263 0.2500 0.9652 x2
Se: 0.2023 0.7500 0.7492 x2
Se: 0.2755 0.7500 0.2319 x2
Se: 0.3893 0.2500 0.5529 x2
Se: 0.4804 0.2500 0.1123 x2

***

(10)
Diffraction record for Rb2TbWN4. The XRD peak list is theoretical, not measured: it uses DFT lattice parameters and positions (GGA-PBE) and λ = 1.5418 Å (Cu Kα).
Lines closer than 0.1° are merged.

Main lines, by angle (2θ = 10–80°):
hkl 1 0 1, 17.5°, d = 5.082 Å, intensity 24
hkl 1 1 2, 28.5°, d = 3.134 Å, intensity 100
hkl 2 0 0, 29.1°, d = 3.069 Å, intensity 42
hkl 2 2 0, 41.6°, d = 2.170 Å, intensity 18
hkl 2 0 4, 50.1°, d = 1.822 Å, intensity 22
hkl 3 1 2, 51.2°, d = 1.784 Å, intensity 39
hkl 2 2 4, 58.9°, d = 1.567 Å, intensity 13
hkl 1 1 6, 65.4°, d = 1.426 Å, intensity 9
hkl 3 3 2, 68.0°, d = 1.378 Å, intensity 8
hkl 4 2 0, 68.3°, d = 1.373 Å, intensity 9

Cell and atoms:
Cell lengths 6.1389, 6.1389, 9.0590 Å; angles 90.00, 90.00, 90.00 degrees
Space group I-4 (No. 82)
Symmetry-distinct sites (fractional):
Rb: 0.0000 0.0000 0.0000 x2
Rb: 0.0000 0.5000 0.2500 x2
Tb: 0.0000 0.0000 0.5000 x2
W: 0.0000 0.5000 0.7500 x2
N: 0.1232 0.2796 0.6325 x8

***

(11)
Diffraction record for Tb2AgW6. The XRD peak list is theoretical, not measured: it uses DFT lattice parameters and positions (GGA-PBE) and λ = 1.5418 Å (Cu Kα).
Lines closer than 0.1° are merged.

Main lines, by angle (2θ = 10–80°):
hkl 1 0 0, 23.7°, d = 3.752 Å, intensity 47
hkl 1 0 1, 24.5°, d = 3.637 Å, intensity 16
hkl 1 1 1, 34.3°, d = 2.611 Å, intensity 23
hkl 1 1 2, 36.0°, d = 2.497 Å, intensity 23
hkl 0 0 6, 36.4°, d = 2.466 Å, intensity 40
hkl 1 1 3, 38.5°, d = 2.336 Å, intensity 100
hkl 1 1 4, 41.9°, d = 2.156 Å, intensity 72
hkl 2 0 0, 48.5°, d = 1.876 Å, intensity 50
hkl 2 0 6, 62.2°, d = 1.493 Å, intensity 34
hkl 1 1 10, 73.3°, d = 1.292 Å, intensity 23

Cell and atoms:
Cell lengths 3.7517, 3.7517, 14.7962 Å; angles 90.00, 90.00, 90.00 degrees
Space group P4/mmm (No. 123)
Symmetry-distinct sites (fractional):
Tb: 0.0000 0.0000 0.1823 x2
Ag: 0.5000 0.5000 0.5000 x1
W: 0.0000 0.0000 0.0000 x1
W: 0.0000 0.0000 0.5000 x1
W: 0.0000 0.5000 0.3521 x4

***

Repeat the ninth record exactly.
Diffraction record for AcEr3Se6. The XRD peak list is theoretical, not measured: it uses DFT lattice parameters and positions (GGA-PBE) and λ = 1.5418 Å (Cu Kα).
Lines closer than 0.1° are merged.

Main lines, by angle (2θ = 10–80°):
hkl 1 0 -3, 22.4°, d = 3.977 Å, intensity 50
hkl 3 0 -1, 22.9°, d = 3.880 Å, intensity 61
hkl 2 1 1, 29.5°, d = 3.033 Å, intensity 100
hkl 2 0 -4, 30.5°, d = 2.928 Å, intensity 39
hkl 0 1 3, 32.0°, d = 2.795 Å, intensity 33
hkl 3 1 0, 32.5°, d = 2.757 Å, intensity 66
hkl 1 1 3, 35.0°, d = 2.563 Å, intensity 33
hkl 4 1 -3, 40.0°, d = 2.255 Å, intensity 81
hkl 1 1 4, 41.6°, d = 2.169 Å, intensity 42
hkl 0 2 0, 43.2°, d = 2.092 Å, intensity 60

Cell and atoms:
Cell lengths 11.6388, 4.1847, 11.9319 Å; angles 90.00, 109.21, 90.00 degrees
Space group P2_1/m (No. 11)
Symmetry-distinct sites (fractional):
Ac: 0.0532 0.2500 0.1988 x2
Er: 0.1601 0.2500 0.5896 x2
Er: 0.3225 0.7500 0.0008 x2
Er: 0.4493 0.2500 0.3351 x2
Se: 0.0838 0.7500 0.4121 x2
Se: 0.1263 0.2500 0.9652 x2
Se: 0.2023 0.7500 0.7492 x2
Se: 0.2755 0.7500 0.2319 x2
Se: 0.3893 0.2500 0.5529 x2
Se: 0.4804 0.2500 0.1123 x2